Record 1
Starting from a PBE-relaxed structure, the powder X-ray diffraction pattern of Nb4TlIO5 was calculated for a wavelength of 1.5418 Å.
Intensities are scaled so that the largest is 100.

Cell and atoms:
Cell lengths 4.256, 4.256, 9.784 Å; angles 90.00, 90.00, 90.00 degrees
Space group P4/mmm (No. 123)
Symmetry-distinct sites (fractional):
Nb 0.000 0.000 0.203
Nb 0.000 0.500 0.000
Tl 0.500 0.500 0.500
I 0.000 0.000 0.500
O 0.000 0.500 0.213
O 0.500 0.500 0.000

Principal peaks in the range 2θ = 10–80°, by angle:
| d (Å) | intensity | hkl |
| --- | --- | --- |
| 4.892 | 42 | 0 0 2 |
| 3.211 | 40 | 1 0 2 |
| 2.876 | 100 | 1 1 1 |
| 2.212 | 83 | 1 1 3 |
| 2.128 | 62 | 2 0 0 |
| 1.605 | 33 | 2 0 4 |


Record 2
Starting from a PBE-relaxed structure, the powder X-ray diffraction pattern of CuAg8 was calculated for a wavelength of 1.5418 Å.
Intensities are scaled so that the largest is 100.

Cell and atoms:
Cell lengths 5.0271, 5.0271, 7.1105 Å; angles 90.00, 90.00, 120.00 degrees
Space group P-31m (No. 162)
Symmetry-distinct sites (fractional):
Cu 0.0000 0.0000 0.0000
Ag 0.0000 0.3294 0.6706
Ag 0.3333 0.6667 0.0000

Principal peaks in the range 2θ = 10–80°, by angle:
| d (Å) | intensity | hkl |
| --- | --- | --- |
| 3.713 | 1 | 1 0 1 |
| 2.754 | 1 | 1 0 2 |
| 2.370 | 100 | 1 1 1 |
| 2.052 | 48 | 2 -1 2 |
| 1.451 | 30 | 3 0 0 |
| 1.238 | 34 | 4 -2 1 |


Record 3
Starting from a PBE-relaxed structure, the powder X-ray diffraction pattern of LaErCN2O2 was calculated for a wavelength of 1.5418 Å.
Intensities are scaled so that the largest is 100.

Cell and atoms:
Cell lengths 3.8171, 3.8171, 8.2446 Å; angles 90.00, 90.00, 120.00 degrees
Space group P3m1 (No. 156)
Symmetry-distinct sites (fractional):
La 0.0000 0.0000 0.0000
Er 0.6667 0.3333 0.6407
C 0.3333 0.6667 0.3280
N 0.3333 0.6667 0.1779
N 0.3333 0.6667 0.4777
O 0.0000 0.0000 0.7050
O 0.6667 0.3333 0.9101

Principal peaks in the range 2θ = 10–80°, by angle:
| d (Å) | intensity | hkl |
| --- | --- | --- |
| 8.245 | 47 | 0 0 1 |
| 3.068 | 100 | 0 1 1 |
| 2.579 | 42 | 1 0 2 |
| 2.113 | 21 | 0 1 3 |
| 1.909 | 29 | 1 1 0 |
| 1.749 | 24 | 0 1 4 |


Please write out number 1 again, unchanged.
Starting from a PBE-relaxed structure, the powder X-ray diffraction pattern of Nb4TlIO5 was calculated for a wavelength of 1.5418 Å.
Intensities are scaled so that the largest is 100.

Cell and atoms:
Cell lengths 4.256, 4.256, 9.784 Å; angles 90.00, 90.00, 90.00 degrees
Space group P4/mmm (No. 123)
Symmetry-distinct sites (fractional):
Nb 0.000 0.000 0.203
Nb 0.000 0.500 0.000
Tl 0.500 0.500 0.500
I 0.000 0.000 0.500
O 0.000 0.500 0.213
O 0.500 0.500 0.000

Principal peaks in the range 2θ = 10–80°, by angle:
| d (Å) | intensity | hkl |
| --- | --- | --- |
| 4.892 | 42 | 0 0 2 |
| 3.211 | 40 | 1 0 2 |
| 2.876 | 100 | 1 1 1 |
| 2.212 | 83 | 1 1 3 |
| 2.128 | 62 | 2 0 0 |
| 1.605 | 33 | 2 0 4 |